[1]
The following is a calculated X-ray diffraction stick pattern of GaSi2N3. It was derived from DFT lattice parameters and positions (GGA-PBE), using a wavelength of 1.5418 Å.

Structural model:
a = 5.5505 Å, b = 5.5505 Å, c = 4.9160 Å
α = 90.00°, β = 90.00°, γ = 62.94°
Atoms (fractional coordinates):
Ga 0.1356 0.8644 0.5000
Ga 0.8644 0.1356 0.0000
Si 0.1870 0.4619 0.9304
Si 0.4619 0.1870 0.4304
Si 0.5381 0.8130 0.9304
Si 0.8130 0.5381 0.4304
N 0.1405 0.3906 0.2710
N 0.3420 0.6580 0.8709
N 0.3906 0.1405 0.7710
N 0.6094 0.8595 0.2710
N 0.6580 0.3420 0.3709
N 0.8595 0.6094 0.7710

Peak list (10 most intense, 2θ = 10–90°, sorted by position)
2θ/deg, I (rel.)
25.6, 31.1
32.3, 56.1
36.0, 100.0
36.6, 31.8
37.2, 80.2
38.0, 22.9
40.9, 27.7
41.4, 24.5
49.6, 23.7
70.6, 30.1



[2]
The following is a calculated X-ray diffraction stick pattern of Sr3GaN3. It was derived from DFT lattice parameters and positions (GGA-PBE), using a wavelength of 1.5418 Å.

Structural model:
a = 7.6272 Å, b = 7.6272 Å, c = 5.4464 Å
α = 90.00°, β = 90.00°, γ = 120.00°
Atoms (fractional coordinates):
Sr 0.0712 0.3578 0.2500
Sr 0.2866 0.9288 0.2500
Sr 0.3578 0.2866 0.7500
Sr 0.6422 0.7134 0.2500
Sr 0.7134 0.0712 0.7500
Sr 0.9288 0.6422 0.7500
Ga 0.3333 0.6667 0.7500
Ga 0.6667 0.3333 0.2500
N 0.0951 0.4016 0.7500
N 0.3065 0.9049 0.7500
N 0.4016 0.3065 0.2500
N 0.5984 0.6935 0.7500
N 0.6935 0.0951 0.2500
N 0.9049 0.5984 0.2500

Peak list (10 most intense, 2θ = 10–90°, sorted by position)
2θ/deg, I (rel.)
28.6, 100.0
31.7, 73.4
32.9, 60.7
36.0, 42.0
41.0, 39.5
49.5, 31.7
53.5, 35.3
56.1, 16.0
61.0, 16.5
63.7, 25.0



[3]
The following is a calculated X-ray diffraction stick pattern of Sr6Ga5N. It was derived from DFT lattice parameters and positions (GGA-PBE), using a wavelength of 1.5418 Å.

Structural model:
a = 14.2437 Å, b = 14.2437 Å, c = 14.2437 Å
α = 30.97°, β = 30.97°, γ = 30.97°
Atoms (fractional coordinates):
Sr 0.1346 0.7153 0.2580
Sr 0.2153 0.6346 0.7580
Sr 0.2420 0.7847 0.3654
Sr 0.2580 0.1346 0.7153
Sr 0.2847 0.7420 0.8654
Sr 0.3654 0.2420 0.7847
Sr 0.6346 0.7580 0.2153
Sr 0.7153 0.2581 0.1346
Sr 0.7420 0.8654 0.2847
Sr 0.7580 0.2153 0.6346
Sr 0.7847 0.3654 0.2420
Sr 0.8654 0.2847 0.7420
Ga 0.0413 0.4587 0.2500
Ga 0.1943 0.1943 0.1943
Ga 0.2500 0.0413 0.4587
Ga 0.3057 0.3057 0.3057
Ga 0.4587 0.2500 0.0413
Ga 0.5413 0.7500 0.9587
Ga 0.6943 0.6943 0.6943
Ga 0.7500 0.9587 0.5413
Ga 0.8057 0.8057 0.8057
Ga 0.9587 0.5413 0.7500
N 0.0000 0.0000 0.0000
N 0.5000 0.5000 0.5000

Peak list (10 most intense, 2θ = 10–90°, sorted by position)
2θ/deg, I (rel.)
16.0, 25.9
27.4, 78.2
30.7, 81.3
32.4, 73.0
35.1, 100.0
36.1, 59.8
37.8, 19.5
39.9, 26.6
55.4, 19.0
56.2, 28.8



[4]
The following is a calculated X-ray diffraction stick pattern of Sr6GaN5. It was derived from DFT lattice parameters and positions (GGA-PBE), using a wavelength of 1.5418 Å.

Structural model:
a = 6.7196 Å, b = 6.7196 Å, c = 13.0960 Å
α = 90.00°, β = 90.00°, γ = 120.00°
Atoms (fractional coordinates):
Sr 0.0000 0.4076 0.1236
Sr 0.0000 0.4076 0.3764
Sr 0.0000 0.5924 0.6236
Sr 0.0000 0.5924 0.8764
Sr 0.4076 0.0000 0.1236
Sr 0.4076 0.0000 0.3764
Sr 0.4076 0.4076 0.6236
Sr 0.4076 0.4076 0.8764
Sr 0.5924 0.0000 0.6236
Sr 0.5924 0.0000 0.8764
Sr 0.5924 0.5924 0.1236
Sr 0.5924 0.5924 0.3764
Ga 0.0000 0.0000 0.2500
Ga 0.0000 0.0000 0.7500
N 0.0000 0.2850 0.7500
N 0.0000 0.7150 0.2500
N 0.2850 0.0000 0.7500
N 0.2850 0.2850 0.2500
N 0.3333 0.6667 0.0000
N 0.3333 0.6667 0.5000
N 0.6667 0.3333 0.0000
N 0.6667 0.3333 0.5000
N 0.7150 0.0000 0.2500
N 0.7150 0.7150 0.7500

Peak list (10 most intense, 2θ = 10–90°, sorted by position)
2θ/deg, I (rel.)
20.4, 39.4
27.2, 47.5
27.4, 88.2
30.7, 95.2
31.3, 46.8
33.7, 100.0
38.4, 73.2
41.5, 44.1
41.6, 41.9
43.8, 38.6



[5]
The following is a calculated X-ray diffraction stick pattern of Ti2GaN. It was derived from DFT lattice parameters and positions (GGA-PBE), using a wavelength of 1.5418 Å.

Structural model:
a = 3.0162 Å, b = 3.0162 Å, c = 13.3137 Å
α = 90.00°, β = 90.00°, γ = 120.00°
Atoms (fractional coordinates):
Ti 0.3333 0.6667 0.0869
Ti 0.3333 0.6667 0.4131
Ti 0.6667 0.3333 0.5869
Ti 0.6667 0.3333 0.9131
Ga 0.3333 0.6667 0.7500
Ga 0.6667 0.3333 0.2500
N 0.0000 0.0000 0.0000
N 0.0000 0.0000 0.5000

Peak list (10 most intense, 2θ = 10–90°, sorted by position)
2θ/deg, I (rel.)
34.3, 18.3
37.0, 4.8
40.1, 100.0
40.7, 18.0
54.2, 16.6
61.5, 19.6
73.6, 14.3
75.9, 13.3
76.4, 15.3
86.5, 3.9



[6]
The following is a calculated X-ray diffraction stick pattern of VGaN2. It was derived from DFT lattice parameters and positions (GGA-PBE), using a wavelength of 1.5418 Å.

Structural model:
a = 5.6106 Å, b = 6.5077 Å, c = 5.2021 Å
α = 90.00°, β = 90.00°, γ = 90.00°
Atoms (fractional coordinates):
V 0.0777 0.1240 0.0000
V 0.4223 0.6240 0.5000
V 0.5777 0.3760 0.0000
V 0.9223 0.8760 0.5000
Ga 0.0856 0.6236 0.0067
Ga 0.4144 0.1236 0.5067
Ga 0.5856 0.8764 0.0067
Ga 0.9144 0.3764 0.5067
N 0.0830 0.1291 0.3829
N 0.0859 0.6237 0.3884
N 0.4141 0.1237 0.8884
N 0.4170 0.6291 0.8829
N 0.5830 0.3709 0.3829
N 0.5859 0.8763 0.3884
N 0.9141 0.3763 0.8884
N 0.9170 0.8709 0.8829

Peak list (10 most intense, 2θ = 10–90°, sorted by position)
2θ/deg, I (rel.)
31.8, 32.9
31.9, 16.8
34.5, 38.4
36.3, 100.0
47.6, 21.8
56.6, 11.0
56.8, 21.6
63.0, 31.1
68.1, 18.2
69.1, 9.6



[7]
The following is a calculated X-ray diffraction stick pattern of V3Ga2N. It was derived from DFT lattice parameters and positions (GGA-PBE), using a wavelength of 1.5418 Å.

Structural model:
a = 6.6108 Å, b = 6.6108 Å, c = 6.6108 Å
α = 90.00°, β = 90.00°, γ = 90.00°
Atoms (fractional coordinates):
V 0.0421 0.1250 0.7921
V 0.1250 0.7921 0.0421
V 0.2079 0.5421 0.3750
V 0.2921 0.4579 0.8750
V 0.3750 0.2079 0.5421
V 0.4579 0.8750 0.2921
V 0.5421 0.3750 0.2079
V 0.6250 0.7079 0.9579
V 0.7079 0.9579 0.6250
V 0.7921 0.0421 0.1250
V 0.8750 0.2921 0.4579
V 0.9579 0.6250 0.7079
Ga 0.0690 0.9310 0.4310
Ga 0.1810 0.1810 0.1810
Ga 0.3190 0.8190 0.6810
Ga 0.4310 0.0690 0.9310
Ga 0.5690 0.5690 0.5690
Ga 0.6810 0.3190 0.8190
Ga 0.8190 0.6810 0.3190
Ga 0.9310 0.4310 0.0690
N 0.1250 0.3750 0.6250
N 0.3750 0.6250 0.1250
N 0.6250 0.1250 0.3750
N 0.8750 0.8750 0.8750

Peak list (10 most intense, 2θ = 10–90°, sorted by position)
2θ/deg, I (rel.)
19.0, 5.8
41.0, 100.0
43.3, 53.3
45.5, 23.5
51.7, 17.8
57.5, 5.5
73.0, 25.3
74.6, 6.6
77.8, 23.4
88.8, 9.7



[8]
The following is a calculated X-ray diffraction stick pattern of Y2GaN3. It was derived from DFT lattice parameters and positions (GGA-PBE), using a wavelength of 1.5418 Å.

Structural model:
a = 6.5286 Å, b = 6.5286 Å, c = 5.1364 Å
α = 90.00°, β = 90.00°, γ = 58.69°
Atoms (fractional coordinates):
Y 0.0223 0.6589 0.5000
Y 0.3411 0.9777 0.5000
Y 0.6589 0.0223 0.0000
Y 0.9777 0.3411 0.0000
Ga 0.3383 0.6617 0.0256
Ga 0.6617 0.3383 0.5256
N 0.0250 0.6692 0.9614
N 0.3308 0.9750 0.9614
N 0.3731 0.6269 0.4059
N 0.6269 0.3731 0.9059
N 0.6692 0.0250 0.4614
N 0.9750 0.3308 0.4614

Peak list (10 most intense, 2θ = 10–90°, sorted by position)
2θ/deg, I (rel.)
27.3, 38.8
27.9, 28.6
32.5, 100.0
33.0, 37.2
34.9, 42.6
48.0, 17.1
49.0, 31.0
60.7, 24.6
61.1, 18.4
61.6, 28.6



[9]
The following is a calculated X-ray diffraction stick pattern of YGa2N3. It was derived from DFT lattice parameters and positions (GGA-PBE), using a wavelength of 1.5418 Å.

Structural model:
a = 5.9697 Å, b = 5.9697 Å, c = 5.2993 Å
α = 90.00°, β = 90.00°, γ = 59.61°
Atoms (fractional coordinates):
Y 0.1883 0.8117 0.5000
Y 0.8117 0.1883 0.0000
Ga 0.1601 0.4924 0.0179
Ga 0.4924 0.1601 0.5179
Ga 0.5076 0.8399 0.0179
Ga 0.8399 0.5076 0.5179
N 0.1698 0.4539 0.3868
N 0.1955 0.8045 0.9464
N 0.4539 0.1698 0.8868
N 0.5461 0.8302 0.3868
N 0.8045 0.1955 0.4464
N 0.8302 0.5461 0.8868

Peak list (10 most intense, 2θ = 10–90°, sorted by position)
2θ/deg, I (rel.)
29.9, 35.6
30.1, 25.2
33.8, 47.8
34.5, 100.0
34.6, 41.9
45.8, 16.0
53.0, 14.0
53.4, 26.9
60.9, 24.9
64.7, 24.6